# 1
# Fe5O7F3
Calculated powder diffraction line list, λ = 1.5418 Å (Cu Kα). Input: DFT lattice parameters and positions (PBE+U).

Structural model:
```
Fe5O7F3
1.0
15.2874 0.0000 0.0000
0.0000 4.6484 0.0000
0.0000 0.0000 4.6483
Fe O F
10 14 6
Direct
0.0000 0.2262 0.0000 Fe
0.1010 0.7535 0.4784 Fe
0.1935 0.2827 0.9584 Fe
0.3065 0.7173 0.4584 Fe
0.3990 0.2465 0.9784 Fe
0.5000 0.7738 0.5000 Fe
0.6010 0.2465 0.9784 Fe
0.6935 0.7173 0.4584 Fe
0.8065 0.2827 0.9584 Fe
0.8990 0.7535 0.4784 Fe
0.0000 0.9331 0.3003 O
0.0967 0.4473 0.1798 O
0.0986 0.0515 0.7833 O
0.2004 0.5653 0.6501 O
0.2996 0.4347 0.1501 O
0.4014 0.9485 0.2833 O
0.4033 0.5527 0.6798 O
0.5000 0.0669 0.8003 O
0.5967 0.5527 0.6798 O
0.5986 0.9485 0.2833 O
0.7004 0.4347 0.1501 O
0.7996 0.5653 0.6501 O
0.9014 0.0515 0.7833 O
0.9033 0.4473 0.1798 O
0.0000 0.5456 0.6853 F
0.2033 0.9508 0.2640 F
0.2967 0.0492 0.7640 F
0.5000 0.4544 0.1853 F
0.7033 0.0492 0.7640 F
0.7967 0.9508 0.2640 F
```

Peak list (10 most intense, 2θ = 10–90°, in order of rising 2θ)
- 2θ 27.13, I = 100
- 2θ 35.13, I = 55
- 2θ 38.74, I = 9
- 2θ 40.29, I = 16
- 2θ 53.29, I = 58
- 2θ 55.95, I = 16
- 2θ 60.57, I = 9
- 2θ 63.26, I = 9
- 2θ 67.58, I = 11
- 2θ 67.81, I = 20


# 2
# ZnFe2As2H2O10
Calculated powder diffraction line list, λ = 1.5418 Å (Cu Kα). Input: DFT lattice parameters and positions (PBE+U).

Structural model:
```
ZnFe2As2H2O10
1.0
6.7520 0.0000 0.0000
0.0000 7.8113 0.0000
-6.5725 0.0000 7.4762
Zn Fe As H O
2 4 4 4 20
Direct
0.0000 0.0000 0.0000 Zn
0.0000 0.5000 0.5000 Zn
0.4662 0.1372 0.7364 Fe
0.4662 0.3628 0.2364 Fe
0.5338 0.6372 0.7636 Fe
0.5338 0.8628 0.2636 Fe
0.1091 0.6257 0.8673 As
0.1091 0.8743 0.3673 As
0.8909 0.1257 0.6327 As
0.8909 0.3743 0.1327 As
0.3930 0.1187 0.0475 H
0.3930 0.3813 0.5475 H
0.6070 0.6187 0.4525 H
0.6070 0.8813 0.9525 H
0.2063 0.6186 0.7450 O
0.2063 0.8814 0.2450 O
0.2175 0.0547 0.4943 O
0.2175 0.4453 0.9943 O
0.2277 0.6904 0.4953 O
0.2277 0.8096 0.9953 O
0.2293 0.1341 0.7874 O
0.2293 0.3659 0.2874 O
0.3860 0.1152 0.1432 O
0.3860 0.3848 0.6432 O
0.6140 0.6152 0.3568 O
0.6140 0.8848 0.8568 O
0.7707 0.6341 0.7126 O
0.7707 0.8659 0.2126 O
0.7723 0.1904 0.0047 O
0.7723 0.3096 0.5047 O
0.7825 0.5547 0.0057 O
0.7825 0.9453 0.5057 O
0.7937 0.1186 0.7550 O
0.7937 0.3814 0.2550 O
```

Peak list (10 most intense, 2θ = 10–90°, in order of rising 2θ)
- 2θ 21.25, I = 16
- 2θ 25.74, I = 100
- 2θ 26.41, I = 65
- 2θ 29.88, I = 33
- 2θ 31.00, I = 22
- 2θ 31.50, I = 18
- 2θ 37.29, I = 16
- 2θ 38.17, I = 25
- 2θ 54.31, I = 31
- 2θ 55.93, I = 15


# 3
# Li2MnP2O7
Calculated powder diffraction line list, λ = 1.5418 Å (Cu Kα). Input: DFT lattice parameters and positions (PBE+U).

Structural model:
```
Li2MnP2O7
1.0
5.0564 0.0000 0.0000
0.0000 13.1414 0.0000
-4.6320 0.0000 8.3523
Li Mn P O
8 4 8 28
Direct
0.0399 0.1966 0.3511 Li
0.0399 0.3034 0.8511 Li
0.3893 0.6452 0.6623 Li
0.3893 0.8548 0.1623 Li
0.6107 0.1452 0.8377 Li
0.6107 0.3548 0.3377 Li
0.9601 0.6966 0.1489 Li
0.9601 0.8034 0.6489 Li
0.3710 0.1293 0.1407 Mn
0.3710 0.3707 0.6407 Mn
0.6290 0.6293 0.3593 Mn
0.6290 0.8707 0.8593 Mn
0.0427 0.0295 0.7775 P
0.0427 0.4705 0.2775 P
0.2684 0.6904 0.9573 P
0.2684 0.8096 0.4573 P
0.7316 0.1904 0.5427 P
0.7316 0.3096 0.0427 P
0.9573 0.5295 0.7225 P
0.9573 0.9705 0.2225 P
0.0445 0.7388 0.4768 O
0.0445 0.7612 0.9768 O
0.1080 0.5807 0.9012 O
0.1080 0.9193 0.4012 O
0.1712 0.5707 0.2583 O
0.1712 0.9293 0.7583 O
0.2107 0.5159 0.6795 O
0.2107 0.9841 0.1795 O
0.2842 0.1054 0.8912 O
0.2842 0.3946 0.3912 O
0.3428 0.7276 0.8277 O
0.3428 0.7724 0.3277 O
0.4479 0.1761 0.3805 O
0.4479 0.3239 0.8805 O
0.5521 0.6761 0.1195 O
0.5521 0.8239 0.6195 O
0.6572 0.2276 0.6723 O
0.6572 0.2724 0.1723 O
0.7158 0.6054 0.6088 O
0.7158 0.8946 0.1088 O
0.7893 0.0159 0.8205 O
0.7893 0.4841 0.3205 O
0.8288 0.0707 0.2417 O
0.8288 0.4293 0.7417 O
0.8920 0.0807 0.5988 O
0.8920 0.4193 0.0988 O
0.9555 0.2388 0.0232 O
0.9555 0.2612 0.5232 O
```

Peak list (10 most intense, 2θ = 10–90°, in order of rising 2θ)
- 2θ 12.56, I = 15
- 2θ 22.20, I = 100
- 2θ 22.34, I = 20
- 2θ 24.26, I = 19
- 2θ 25.27, I = 36
- 2θ 32.88, I = 17
- 2θ 34.00, I = 25
- 2θ 35.16, I = 13
- 2θ 38.33, I = 21
- 2θ 38.63, I = 24


# 4
# Li9Mn7O16
Calculated powder diffraction line list, λ = 1.5418 Å (Cu Kα). Input: DFT lattice parameters and positions (PBE+U).

Structural model:
```
Li9Mn7O16
1.0
6.4761 0.0000 0.0000
1.9862 6.2238 0.0000
3.1270 -0.6183 7.3958
Li Mn O
9 7 16
Direct
0.0000 0.0000 0.0000 Li
0.1127 0.5736 0.8329 Li
0.1196 0.0671 0.3134 Li
0.3580 0.1849 0.9433 Li
0.3753 0.6884 0.4383 Li
0.6247 0.3116 0.5617 Li
0.6420 0.8151 0.0567 Li
0.8804 0.9329 0.6866 Li
0.8873 0.4264 0.1671 Li
0.0000 0.5000 0.5000 Mn
0.2457 0.1244 0.6313 Mn
0.2466 0.6250 0.1226 Mn
0.4946 0.7528 0.7568 Mn
0.5054 0.2472 0.2432 Mn
0.7534 0.3750 0.8774 Mn
0.7543 0.8756 0.3687 Mn
0.0435 0.7774 0.4155 O
0.0491 0.2891 0.8990 O
0.2058 0.3439 0.2130 O
0.2092 0.8440 0.7101 O
0.3185 0.3810 0.5042 O
0.3320 0.8729 0.0048 O
0.4606 0.4760 0.8292 O
0.4605 0.9752 0.3305 O
0.5395 0.0248 0.6695 O
0.5394 0.5240 0.1708 O
0.6680 0.1271 0.9952 O
0.6815 0.6190 0.4958 O
0.7908 0.1560 0.2899 O
0.7942 0.6561 0.7870 O
0.9509 0.7109 0.1010 O
0.9565 0.2226 0.5845 O
```

Peak list (10 most intense, 2θ = 10–90°, in order of rising 2θ)
- 2θ 18.30, I = 100
- 2θ 33.75, I = 18
- 2θ 36.24, I = 24
- 2θ 40.49, I = 36
- 2θ 44.19, I = 28
- 2θ 44.41, I = 27
- 2θ 61.29, I = 9
- 2θ 61.37, I = 9
- 2θ 61.58, I = 8
- 2θ 62.00, I = 8


# 5
# V2CrO6
Calculated powder diffraction line list, λ = 1.5418 Å (Cu Kα). Input: DFT lattice parameters and positions (PBE+U).

Structural model:
```
V2CrO6
1.0
5.0003 -4.5524 0.0000
5.0003 4.5524 0.0000
-1.9754 0.0000 5.3554
V Cr O
4 2 12
Direct
0.1050 0.2994 0.2397 V
0.2994 0.1050 0.7397 V
0.7006 0.8950 0.2603 V
0.8950 0.7006 0.7603 V
0.4163 0.5837 0.7500 Cr
0.5837 0.4163 0.2500 Cr
0.1291 0.1468 0.9425 O
0.1347 0.5844 0.7875 O
0.1468 0.1291 0.4425 O
0.3130 0.4687 0.3688 O
0.4156 0.8653 0.7125 O
0.4687 0.3130 0.8688 O
0.5313 0.6870 0.1312 O
0.5844 0.1347 0.2875 O
0.6870 0.5313 0.6312 O
0.8532 0.8709 0.5575 O
0.8653 0.4156 0.2125 O
0.8709 0.8532 0.0575 O
```

Peak list (10 most intense, 2θ = 10–90°, in order of rising 2θ)
- 2θ 13.55, I = 22
- 2θ 18.72, I = 38
- 2θ 19.50, I = 44
- 2θ 23.89, I = 28
- 2θ 25.68, I = 21
- 2θ 28.36, I = 100
- 2θ 30.21, I = 62
- 2θ 33.47, I = 41
- 2θ 35.47, I = 24
- 2θ 44.94, I = 22


# 6
# Cs4BaV6O18
Calculated powder diffraction line list, λ = 1.5418 Å (Cu Kα). Input: DFT lattice parameters and positions (PBE+U).

Structural model:
```
Cs4BaV6O18
1.0
7.1134 4.1069 6.8080
-7.1134 4.1069 6.8080
0.0000 -8.2139 6.8080
Cs Ba V O
8 2 12 36
Direct
0.0000 0.0000 0.0000 Cs
0.0895 0.9085 0.4879 Cs
0.4085 0.5895 0.9879 Cs
0.4879 0.0895 0.9085 Cs
0.5000 0.5000 0.5000 Cs
0.5895 0.9879 0.4085 Cs
0.9085 0.4879 0.0895 Cs
0.9879 0.4085 0.5895 Cs
0.2695 0.2695 0.2695 Ba
0.7695 0.7695 0.7695 Ba
0.1039 0.6699 0.8010 V
0.1699 0.6039 0.3010 V
0.1917 0.3356 0.8773 V
0.3010 0.1699 0.6039 V
0.3356 0.8773 0.1917 V
0.3773 0.8356 0.6917 V
0.6039 0.3010 0.1699 V
0.6699 0.8010 0.1039 V
0.6917 0.3773 0.8356 V
0.8010 0.1039 0.6699 V
0.8356 0.6917 0.3773 V
0.8773 0.1917 0.3356 V
0.0010 0.2788 0.2931 O
0.0088 0.6664 0.3509 O
0.0280 0.6718 0.6711 O
0.0507 0.2803 0.9116 O
0.1664 0.5088 0.8509 O
0.1711 0.1718 0.5280 O
0.1718 0.5280 0.1711 O
0.2237 0.4922 0.4118 O
0.2339 0.7709 0.7716 O
0.2709 0.7339 0.2716 O
0.2716 0.2709 0.7339 O
0.2788 0.2931 0.0010 O
0.2803 0.9116 0.0507 O
0.2931 0.0010 0.2788 O
0.3509 0.0088 0.6664 O
0.4118 0.2237 0.4922 O
0.4116 0.7803 0.5507 O
0.4922 0.4118 0.2237 O
0.5010 0.7931 0.7788 O
0.5088 0.8509 0.1664 O
0.5280 0.1711 0.1718 O
0.5507 0.4116 0.7803 O
0.6664 0.3509 0.0088 O
0.6711 0.0280 0.6718 O
0.6718 0.6711 0.0280 O
0.7237 0.9118 0.9922 O
0.7339 0.2716 0.2709 O
0.7709 0.7716 0.2339 O
0.7716 0.2339 0.7709 O
0.7788 0.5010 0.7931 O
0.7803 0.5507 0.4116 O
0.7931 0.7788 0.5010 O
0.8509 0.1664 0.5088 O
0.9116 0.0507 0.2803 O
0.9118 0.9922 0.7237 O
0.9922 0.7237 0.9118 O
```

Peak list (10 most intense, 2θ = 10–90°, in order of rising 2θ)
- 2θ 21.64, I = 46
- 2θ 22.62, I = 95
- 2θ 25.89, I = 73
- 2θ 26.18, I = 25
- 2θ 26.45, I = 100
- 2θ 29.08, I = 48
- 2θ 34.21, I = 53
- 2θ 36.33, I = 38
- 2θ 40.66, I = 35
- 2θ 55.20, I = 24